[1]
CoHSO4: computed powder X-ray diffraction pattern (Cu Kα X-rays), based on a GGA+U-relaxed structure.
No peak broadening, texture or thermal motion is included.

```
data_CoHSO4
_chemical_formula_sum 'Co4 H4 S4 O16'
_symmetry_space_group_name_H-M 'C 1 2/c 1'
_symmetry_Int_Tables_number 15
_cell_length_a 6.6732
_cell_length_b 7.9918
_cell_length_c 6.3613
_cell_angle_alpha 90.00
_cell_angle_beta 113.75
_cell_angle_gamma 90.00
loop_
_symmetry_equiv_pos_as_xyz
'x,y,z'
'-x,-y,-z'
'-x,y,-z+1/2'
'x,-y,z+1/2'
'x+1/2,y+1/2,z'
'-x+1/2,-y+1/2,-z'
'-x+1/2,y+1/2,-z+1/2'
'x+1/2,-y+1/2,z+1/2'
loop_
_atom_site_label
_atom_site_type_symbol
_atom_site_fract_x
_atom_site_fract_y
_atom_site_fract_z
_atom_site_occupancy
Co1 Co 0.0000 0.0000 0.0000 1
H1 H 0.0000 0.0578 0.2500 1
S1 S 0.0000 0.3325 0.7500 1
O1 O 0.0874 0.2262 0.6113 1
O2 O 0.1793 0.4393 0.9042 1
```

Top 10 peaks for 10° ≤ 2θ ≤ 80°, in order of rising 2θ:
2θ (°)	I (rel.)
18.28	45
19.71	67
27.06	18
27.43	38
29.24	44
30.33	100
36.81	33
38.25	32
44.28	23
56.62	18

[2]
LiVO2: computed powder X-ray diffraction pattern (Cu Kα X-rays), based on a GGA+U-relaxed structure.
No peak broadening, texture or thermal motion is included.

```
data_LiVO2
_chemical_formula_sum 'Li4 V4 O8'
_symmetry_space_group_name_H-M 'P 1 c 1'
_symmetry_Int_Tables_number 7
_cell_length_a 2.9520
_cell_length_b 5.1699
_cell_length_c 10.0970
_cell_angle_alpha 90.00
_cell_angle_beta 90.07
_cell_angle_gamma 90.00
loop_
_symmetry_equiv_pos_as_xyz
'x,y,z'
'x,-y,z+1/2'
loop_
_atom_site_label
_atom_site_type_symbol
_atom_site_fract_x
_atom_site_fract_y
_atom_site_fract_z
_atom_site_occupancy
Li1 Li 0.0000 0.1641 0.0000 1
Li2 Li 0.5001 0.3350 0.4993 1
V1 V 0.0015 0.1659 0.7400 1
V2 V 0.5015 0.3346 0.2401 1
O1 O 0.0010 0.4913 0.1243 1
O2 O 0.0018 0.1775 0.3540 1
O3 O 0.5010 0.0070 0.6268 1
O4 O 0.5018 0.3230 0.8514 1
```

Top 10 peaks for 10° ≤ 2θ ≤ 80°, in order of rising 2θ:
2θ (°)	I (rel.)
17.57	100
35.86	15
36.15	24
39.15	11
39.42	18
44.18	18
44.42	38
50.76	11
58.15	16
62.40	14

[3]
BaYCo4O7: computed powder X-ray diffraction pattern (Cu Kα X-rays), based on a GGA+U-relaxed structure.
No peak broadening, texture or thermal motion is included.

```
data_BaYCo4O7
_chemical_formula_sum 'Ba4 Y4 Co16 O28'
_symmetry_space_group_name_H-M 'C m c 21'
_symmetry_Int_Tables_number 36
_cell_length_a 6.4586
_cell_length_b 11.0991
_cell_length_c 10.3256
_cell_angle_alpha 90.00
_cell_angle_beta 90.00
_cell_angle_gamma 90.00
loop_
_symmetry_equiv_pos_as_xyz
'x,y,z'
'-x,-y,z+1/2'
'-x,y,z'
'x,-y,z+1/2'
'x+1/2,y+1/2,z'
'-x+1/2,-y+1/2,z+1/2'
'-x+1/2,y+1/2,z'
'x+1/2,-y+1/2,z+1/2'
loop_
_atom_site_label
_atom_site_type_symbol
_atom_site_fract_x
_atom_site_fract_y
_atom_site_fract_z
_atom_site_occupancy
Ba1 Ba 0.0000 0.1638 0.0000 1
Y1 Y 0.0000 0.1674 0.3691 1
Co1 Co 0.0000 0.3300 0.6873 1
Co2 Co 0.0000 0.4978 0.9450 1
Co3 Co 0.2483 0.0837 0.6885 1
O1 O 0.0000 0.9997 0.2462 1
O2 O 0.0000 0.3378 0.4967 1
O3 O 0.0000 0.4984 0.7562 1
O4 O 0.2464 0.4241 0.9953 1
O5 O 0.2486 0.2501 0.2468 1
```

Top 10 peaks for 10° ≤ 2θ ≤ 80°, in order of rising 2θ:
2θ (°)	I (rel.)
27.79	35
30.53	100
32.71	39
32.85	77
33.25	73
33.44	37
34.75	21
50.90	29
55.34	31
57.41	33

[4]
CsNiF3: computed powder X-ray diffraction pattern (Cu Kα X-rays), based on a GGA+U-relaxed structure.
No peak broadening, texture or thermal motion is included.

```
data_CsNiF3
_chemical_formula_sum 'Cs2 Ni2 F6'
_symmetry_space_group_name_H-M 'P 63/m m c'
_symmetry_Int_Tables_number 194
_symmetry_space_group_name_Hall '-P 6c 2c'
_cell_length_a 6.3368
_cell_length_b 6.3368
_cell_length_c 5.2888
_cell_angle_alpha 90.00
_cell_angle_beta 90.00
_cell_angle_gamma 120.00
loop_
_atom_site_label
_atom_site_type_symbol
_atom_site_fract_x
_atom_site_fract_y
_atom_site_fract_z
_atom_site_occupancy
Cs1 Cs 0.3333 0.6667 0.2500 1
Ni1 Ni 0.0000 0.0000 0.0000 1
F1 F 0.1414 0.2827 0.7500 1
```

Top 10 peaks for 10° ≤ 2θ ≤ 80°, in order of rising 2θ:
2θ (°)	I (rel.)
23.36	100
28.16	100
36.90	75
37.76	34
47.06	23
47.77	33
49.85	19
56.38	33
58.24	21
63.61	16

[5]
Mo2P2O11: computed powder X-ray diffraction pattern (Cu Kα X-rays), based on a GGA+U-relaxed structure.
No peak broadening, texture or thermal motion is included.

```
data_Mo2P2O11
_chemical_formula_sum 'Mo8 P8 O44'
_symmetry_space_group_name_H-M 'P 1 21/m 1'
_symmetry_Int_Tables_number 11
_cell_length_a 7.9916
_cell_length_b 12.6919
_cell_length_c 8.7257
_cell_angle_alpha 90.00
_cell_angle_beta 108.64
_cell_angle_gamma 90.00
loop_
_symmetry_equiv_pos_as_xyz
'x,y,z'
'-x,-y,-z'
'-x,y+1/2,-z'
'x,-y+1/2,z'
loop_
_atom_site_label
_atom_site_type_symbol
_atom_site_fract_x
_atom_site_fract_y
_atom_site_fract_z
_atom_site_occupancy
Mo1 Mo 0.1943 0.2500 0.1578 1
Mo2 Mo 0.2308 0.7500 0.1826 1
Mo3 Mo 0.2333 0.0014 0.6498 1
P1 P 0.1740 0.2500 0.7528 1
P2 P 0.3166 0.0071 0.2642 1
P3 P 0.3612 0.7500 0.5859 1
O1 O 0.0000 0.0000 0.5000 1
O2 O 0.0261 0.7500 0.2978 1
O3 O 0.0386 0.7500 0.9879 1
O4 O 0.1336 0.2500 0.3272 1
O5 O 0.1830 0.5245 0.8207 1
O6 O 0.2144 0.5958 0.1950 1
O7 O 0.2210 0.0969 0.1452 1
O8 O 0.2353 0.1530 0.6702 1
O9 O 0.2574 0.6514 0.6048 1
O10 O 0.2637 0.2500 0.9343 1
O11 O 0.3140 0.0288 0.4329 1
O12 O 0.3849 0.7500 0.4155 1
O13 O 0.4014 0.7500 0.1064 1
O14 O 0.4577 0.2500 0.2829 1
O15 O 0.4956 0.0019 0.7513 1
```

Top 10 peaks for 10° ≤ 2θ ≤ 80°, in order of rising 2θ:
2θ (°)	I (rel.)
17.62	62
19.18	91
20.93	73
21.50	42
23.50	100
26.35	26
27.69	36
28.12	92
32.23	32
36.52	39